# YTl2WO6
Computed powder XRD pattern, Cu Kα (weighted mean of Kα1 and Kα2). Input: a structure optimized by DFT (GGA+U).

Most intense lines, 2θ from 15° to 90°, in order of rising 2θ:
| Position (°2θ) | I (rel.) |
| --- | --- |
| 28.53 | 100.0 |
| 28.89 | 85.5 |
| 41.05 | 36.5 |
| 50.52 | 20.6 |
| 50.75 | 38.8 |
| 51.41 | 12.5 |
| 59.05 | 17.1 |
| 67.05 | 16.5 |
| 67.61 | 11.2 |
| 81.37 | 11.2 |

Structure:
```
data_YTl2WO6
_cell_length_a 6.2579
_cell_length_b 6.2579
_cell_length_c 30.1016
_cell_angle_alpha 90.00
_cell_angle_beta 90.00
_cell_angle_gamma 120.00
_space_group_name_H-M_alt 'R -3 m'
_space_group_IT_number 166
_space_group_name_Hall '-R 3 2"'
loop_
_atom_site_label
_atom_site_fract_x
_atom_site_fract_y
_atom_site_fract_z
Y1 0.0000 0.0000 0.1034
Tl1 0.0000 0.0000 0.2518
Tl2 0.0000 0.0000 0.3798
W1 0.0000 0.0000 0.0000
W2 0.0000 0.0000 0.5000
O1 0.0411 0.5206 0.2045
O2 0.0499 0.5250 0.6265
```